Diffraction record for La2Tm12Th. The powder diffraction line list is theoretical, not measured: it uses a structure optimized by DFT (PBE) and Cu Kα X-rays.

Crystal structure
a = 3.5400 Å, b = 5.5774 Å, c = 24.0061 Å
α = 90.00°, β = 94.14°, γ = 90.00°
Positions (direct):
La  0.1390  0.0000  0.2795
La  0.8610  0.0000  0.7205
Tm  0.0324  0.5000  0.0662
Tm  0.0632  0.0000  0.1331
Tm  0.2224  0.5000  0.4451
Tm  0.2840  0.0000  0.5692
Tm  0.3348  0.5000  0.6693
Tm  0.4073  0.5000  0.8091
Tm  0.5927  0.5000  0.1909
Tm  0.6652  0.5000  0.3307
Tm  0.7160  0.0000  0.4308
Tm  0.7776  0.5000  0.5549
Tm  0.9368  0.0000  0.8669
Tm  0.9676  0.5000  0.9338
Th  0.5000  0.0000  0.0000

Most intense lines, 5° ≤ 2θ ≤ 70°, most intense first:
(hkl)  Position (°2θ)  I_rel
1 1 -3  31.4  100
0 2 0  32.1  78
0 1 7  30.7  64
1 1 4  34.4  57
0 1 8  34.0  43
1 0 5  32.6  40
1 2 5  46.4  30
1 1 -2  30.4  26
2 2 -1  62.1  24
2 0 -1  51.6  21